(1)
K6TaAs4: calculated powder diffractogram (λ = 1.5418 Å (Cu Kα)), based on a cell relaxed with PBE.
Neutral-atom scattering factors, no anomalous dispersion.

Atomic structure:
Unit cell a=10.4525 b=10.4525 c=8.2600 alpha=90.00 beta=90.00 gamma=120.00
Space group P6_3mc (No. 186)
Inequivalent atoms, fractional coordinates:
K 0.0640 0.5320 0.0000 [6 per cell]
K 0.1446 0.2892 0.3179 [6 per cell]
Ta 0.3333 0.6667 0.6106 [2 per cell]
As 0.2014 0.4028 0.7039 [6 per cell]
As 0.3333 0.6667 0.3094 [2 per cell]

Principal peaks in the range 10° ≤ 2θ ≤ 80°, sorted by position:
- 2θ = 14.52°, I = 1000, (1 0 1)
- 2θ = 19.61°, I = 236, (2 0 0)
- 2θ = 28.23°, I = 593, (2 1 1)
- 2θ = 29.27°, I = 345, (2 0 2)
- 2θ = 31.57°, I = 271, (3 0 1)
- 2θ = 34.03°, I = 413, (1 0 3)
- 2θ = 34.32°, I = 523, (2 2 0)
- 2θ = 42.13°, I = 258, (2 1 3)
- 2θ = 49.11°, I = 223, (3 1 3)
- 2θ = 55.42°, I = 269, (3 2 3)

=====

(2)
CsRbBiTe2: calculated powder diffractogram (λ = 1.5418 Å (Cu Kα)), based on a cell relaxed with PBE.
Neutral-atom scattering factors, no anomalous dispersion.

Atomic structure:
Unit cell a=7.3881 b=15.8710 c=7.4962 alpha=90.00 beta=90.00 gamma=90.00
Space group Cmme (No. 67)
Inequivalent atoms, fractional coordinates:
Cs 0.0000 0.2500 0.2425 [4 per cell]
Rb 0.2500 0.0000 0.5000 [4 per cell]
Bi 0.0000 0.0000 0.0000 [4 per cell]
Te 0.0000 0.1567 0.7559 [8 per cell]

Principal peaks in the range 10° ≤ 2θ ≤ 80°, sorted by position:
- 2θ = 23.85°, I = 298, (1 3 1)
- 2θ = 24.09°, I = 570, (2 0 0)
- 2θ = 26.30°, I = 1000, (0 2 2)
- 2θ = 26.91°, I = 333, (2 0 1)
- 2θ = 29.21°, I = 457, (2 2 1)
- 2θ = 32.93°, I = 813, (1 5 1)
- 2θ = 35.29°, I = 298, (2 4 1)
- 2θ = 35.96°, I = 421, (2 2 2)
- 2θ = 43.78°, I = 226, (2 6 1)
- 2θ = 56.76°, I = 237, (4 2 2)

=====

(3)
La4GeS2Br: calculated powder diffractogram (λ = 1.5418 Å (Cu Kα)), based on a cell relaxed with PBE.
Neutral-atom scattering factors, no anomalous dispersion.

Atomic structure:
Unit cell a=7.4010 b=4.2651 c=7.4388 alpha=90.00 beta=109.06 gamma=90.00
Space group P2/m (No. 10)
Inequivalent atoms, fractional coordinates:
La 0.2262 0.0000 0.2274 [2 per cell]
La 0.2373 0.5000 0.7575 [2 per cell]
Ge 0.5000 0.0000 0.0000 [1 per cell]
S 0.0000 0.0000 0.5000 [1 per cell]
S 0.0000 0.5000 0.0000 [1 per cell]
Br 0.5000 0.5000 0.5000 [1 per cell]

Principal peaks in the range 10° ≤ 2θ ≤ 80°, sorted by position:
- 2θ = 25.34°, I = 79, (0 0 2)
- 2θ = 25.53°, I = 242, (1 1 -1)
- 2θ = 29.51°, I = 1000, (2 0 -2)
- 2θ = 41.97°, I = 114, (2 0 2)
- 2θ = 42.16°, I = 244, (1 1 -3)
- 2θ = 42.35°, I = 363, (0 2 0)
- 2θ = 50.07°, I = 89, (0 2 2)
- 2θ = 52.52°, I = 130, (2 2 -2)
- 2θ = 69.65°, I = 104, (1 3 1)
- 2θ = 77.39°, I = 95, (1 3 -3)

=====

(4)
MgHOF: calculated powder diffractogram (λ = 1.5418 Å (Cu Kα)), based on a cell relaxed with PBE.
Neutral-atom scattering factors, no anomalous dispersion.

Atomic structure:
Unit cell a=5.4167 b=3.1277 c=5.3193 alpha=90.00 beta=110.06 gamma=90.00
Space group Cm (No. 8)
Inequivalent atoms, fractional coordinates:
Mg 0.0000 0.0000 0.0000 [2 per cell]
H 0.2041 0.0000 0.6168 [2 per cell]
O 0.2698 0.0000 0.8109 [2 per cell]
F 0.2398 0.5000 0.2171 [2 per cell]

Principal peaks in the range 10° ≤ 2θ ≤ 80°, sorted by position:
- 2θ = 17.75°, I = 1000, (0 0 1)
- 2θ = 33.62°, I = 237, (1 1 0)
- 2θ = 41.05°, I = 297, (2 0 -2)
- 2θ = 41.16°, I = 592, (1 1 1)
- 2θ = 54.53°, I = 73, (2 0 -3)
- 2θ = 54.69°, I = 143, (1 1 2)
- 2θ = 59.07°, I = 277, (0 2 0)
- 2θ = 59.98°, I = 118, (1 1 -3)
- 2θ = 62.17°, I = 111, (3 1 -2)
- 2θ = 74.44°, I = 72, (2 2 -2)

=====

(5)
Rb3GeSe4: calculated powder diffractogram (λ = 1.5418 Å (Cu Kα)), based on a cell relaxed with PBE.
Neutral-atom scattering factors, no anomalous dispersion.

Atomic structure:
Unit cell a=9.6396 b=11.3368 c=10.5579 alpha=90.00 beta=90.00 gamma=90.00
Space group Pnma (No. 62)
Inequivalent atoms, fractional coordinates:
Rb 0.0400 0.0449 0.1939 [8 per cell]
Rb 0.1613 0.7500 0.4167 [4 per cell]
Ge 0.2468 0.2500 0.4629 [4 per cell]
Se 0.0442 0.7500 0.0853 [4 per cell]
Se 0.1394 0.0677 0.5337 [8 per cell]
Se 0.2106 0.7500 0.7435 [4 per cell]

Principal peaks in the range 10° ≤ 2θ ≤ 80°, sorted by position:
- 2θ = 24.24°, I = 632, (2 2 0)
- 2θ = 26.52°, I = 672, (0 1 3)
- 2θ = 26.97°, I = 505, (1 0 3)
- 2θ = 29.05°, I = 739, (3 0 1)
- 2θ = 30.05°, I = 970, (2 3 0)
- 2θ = 31.28°, I = 1000, (2 3 1)
- 2θ = 31.57°, I = 446, (0 4 0)
- 2θ = 35.32°, I = 625, (2 2 3)
- 2θ = 45.15°, I = 487, (3 3 3)
- 2θ = 54.11°, I = 449, (5 3 1)

=====

(6)
CeAl2GaNi2: calculated powder diffractogram (λ = 1.5418 Å (Cu Kα)), based on a cell relaxed with PBE.
Neutral-atom scattering factors, no anomalous dispersion.

Atomic structure:
Unit cell a=4.3798 b=4.3798 c=5.6892 alpha=90.00 beta=90.00 gamma=90.00
Space group P4/mmm (No. 123)
Inequivalent atoms, fractional coordinates:
Ce 0.0000 0.0000 0.0000 [1 per cell]
Al 0.5000 0.5000 0.2526 [2 per cell]
Ga 0.0000 0.0000 0.5000 [1 per cell]
Ni 0.0000 0.5000 0.5000 [2 per cell]

Principal peaks in the range 10° ≤ 2θ ≤ 80°, sorted by position:
- 2θ = 20.28°, I = 837, (1 0 0)
- 2θ = 28.83°, I = 267, (1 1 0)
- 2θ = 31.45°, I = 482, (0 0 2)
- 2θ = 32.93°, I = 780, (1 1 1)
- 2θ = 37.71°, I = 1000, (1 0 2)
- 2θ = 41.22°, I = 860, (2 0 0)
- 2θ = 46.36°, I = 198, (2 1 0)
- 2θ = 52.75°, I = 435, (2 0 2)
- 2θ = 57.09°, I = 589, (2 1 2)
- 2θ = 59.72°, I = 278, (2 2 0)

=====

What did the fifth record say?
Rb3GeSe4: calculated powder diffractogram (λ = 1.5418 Å (Cu Kα)), based on a cell relaxed with PBE.
Neutral-atom scattering factors, no anomalous dispersion.

Atomic structure:
Unit cell a=9.6396 b=11.3368 c=10.5579 alpha=90.00 beta=90.00 gamma=90.00
Space group Pnma (No. 62)
Inequivalent atoms, fractional coordinates:
Rb 0.0400 0.0449 0.1939 [8 per cell]
Rb 0.1613 0.7500 0.4167 [4 per cell]
Ge 0.2468 0.2500 0.4629 [4 per cell]
Se 0.0442 0.7500 0.0853 [4 per cell]
Se 0.1394 0.0677 0.5337 [8 per cell]
Se 0.2106 0.7500 0.7435 [4 per cell]

Principal peaks in the range 10° ≤ 2θ ≤ 80°, sorted by position:
- 2θ = 24.24°, I = 632, (2 2 0)
- 2θ = 26.52°, I = 672, (0 1 3)
- 2θ = 26.97°, I = 505, (1 0 3)
- 2θ = 29.05°, I = 739, (3 0 1)
- 2θ = 30.05°, I = 970, (2 3 0)
- 2θ = 31.28°, I = 1000, (2 3 1)
- 2θ = 31.57°, I = 446, (0 4 0)
- 2θ = 35.32°, I = 625, (2 2 3)
- 2θ = 45.15°, I = 487, (3 3 3)
- 2θ = 54.11°, I = 449, (5 3 1)

=====

Question: Number 5 is which compound?
Answer: Rb3GeSe4